# Th4Ga12Co
Computed powder X-ray diffraction pattern, Cu Ka. Input: a DFT-relaxed cell (PBE, Alexandria).
Peak positions follow from Bragg's law for the DFT cell and can differ from measured ones.

Main lines, by angle (2θ from 15° to 90°):
d 4.412, 20.13°, I 28
d 3.120, 28.61°, I 44
d 2.547, 35.23°, I 100
d 2.206, 40.91°, I 57
d 1.973, 46.00°, I 18
d 1.801, 50.68°, I 16
d 1.560, 59.23°, I 36
d 1.330, 70.83°, I 35
d 1.274, 74.50°, I 11
d 1.179, 81.65°, I 11

Cell: 7.6421 7.6421 7.6421 Å, 109.47 109.47 109.47°
Positions (direct):
Th 0.0000 0.0000 0.5000
Th 0.0000 0.5000 0.0000
Th 0.5000 0.0000 0.0000
Th 0.5000 0.5000 0.5000
Ga 0.0000 0.2869 0.2869
Ga 0.0000 0.7131 0.7131
Ga 0.2500 0.5000 0.7500
Ga 0.2500 0.7500 0.5000
Ga 0.2869 0.0000 0.2869
Ga 0.2869 0.2869 0.0000
Ga 0.5000 0.2500 0.7500
Ga 0.5000 0.7500 0.2500
Ga 0.7131 0.0000 0.7131
Ga 0.7131 0.7131 0.0000
Ga 0.7500 0.2500 0.5000
Ga 0.7500 0.5000 0.2500
Co 0.0000 0.0000 0.0000